Structure and simulated powder X-ray diffraction pattern of K6Na3Au (a crystal structure in Alexandria, relaxed with PBE; Cu Kα).
Peak positions follow from Bragg's law for the DFT cell and can differ from measured ones.

Crystal structure
abc: 10.502 10.502 10.502
angles: 77.53 77.53 77.53
Sites, in units of the cell vectors:
K 0.021 0.021 0.680
K 0.021 0.680 0.021
K 0.297 0.297 0.643
K 0.297 0.643 0.297
K 0.320 0.979 0.979
K 0.357 0.703 0.703
K 0.643 0.297 0.297
K 0.680 0.021 0.021
K 0.703 0.357 0.703
K 0.703 0.703 0.357
K 0.979 0.320 0.979
K 0.979 0.979 0.320
Na 0.048 0.360 0.360
Na 0.360 0.048 0.360
Na 0.360 0.360 0.048
Na 0.640 0.640 0.952
Na 0.640 0.952 0.640
Na 0.952 0.640 0.640
Au 0.000 0.000 0.000
Au 0.500 0.500 0.500

The 12 most intense peaks (15° ≤ 2θ ≤ 90°), by angle:
| 2θ (°) | d [Å] | Rel. int. |
| --- | --- | --- |
| 17.6 | 5.046 | 34 |
| 18.1 | 4.910 | 21 |
| 22.2 | 4.003 | 39 |
| 22.6 | 3.934 | 33 |
| 26.5 | 3.368 | 100 |
| 28.1 | 3.176 | 27 |
| 29.4 | 3.034 | 27 |
| 32.8 | 2.732 | 21 |
| 34.2 | 2.623 | 50 |
| 35.3 | 2.541 | 20 |
| 41.2 | 2.192 | 31 |
| 44.2 | 2.050 | 16 |

Structure and simulated powder X-ray diffraction pattern of CaZn2GeN4 (a crystal structure in Alexandria, relaxed with PBE; Cu Kα).
Peak positions follow from Bragg's law for the DFT cell and can differ from measured ones.

Crystal structure
abc: 7.145 5.568 5.370
angles: 90.00 90.00 90.00
Sites, in units of the cell vectors:
Ca 0.000 0.207 0.000
Ca 0.500 0.793 0.500
Zn 0.247 0.312 0.510
Zn 0.253 0.688 0.010
Zn 0.747 0.688 0.010
Zn 0.753 0.312 0.510
Ge 0.000 0.805 0.519
Ge 0.500 0.195 0.019
N 0.000 0.137 0.454
N 0.000 0.790 0.869
N 0.205 0.651 0.379
N 0.295 0.349 0.879
N 0.500 0.210 0.369
N 0.500 0.863 0.954
N 0.705 0.349 0.879
N 0.795 0.651 0.379

The 12 most intense peaks (15° ≤ 2θ ≤ 90°), by angle:
| 2θ (°) | d [Å] | Rel. int. |
| --- | --- | --- |
| 29.7 | 3.007 | 22 |
| 32.2 | 2.784 | 31 |
| 33.4 | 2.685 | 42 |
| 34.2 | 2.623 | 100 |
| 36.3 | 2.472 | 18 |
| 45.3 | 2.003 | 9 |
| 47.0 | 1.933 | 16 |
| 51.1 | 1.786 | 14 |
| 55.8 | 1.647 | 17 |
| 60.2 | 1.538 | 27 |
| 62.4 | 1.487 | 12 |
| 66.6 | 1.404 | 15 |